# PrTiCd2
Simulated PXRD pattern, a wavelength of 1.5418 Å. Input: a cell relaxed with PBE.

Structural model:
```
data_PrTiCd2
_cell_length_a 3.488
_cell_length_b 3.488
_cell_length_c 7.736
_cell_angle_alpha 90.00
_cell_angle_beta 90.00
_cell_angle_gamma 90.00
_symmetry_space_group_name_H-M 'P 4/m m m'
_symmetry_Int_Tables_number 123
_symmetry_space_group_name_Hall '-P 4 2'
loop_
_atom_site_label
_atom_site_fract_x
_atom_site_fract_y
_atom_site_fract_z
Pr1 0.000 0.000 0.000
Ti1 0.000 0.000 0.500
Cd1 0.500 0.500 0.296
```

Most intense lines, 10° ≤ 2θ ≤ 90°, in order of falling intensity:
| hkl | 2θ/deg | d [Å] | I/Imax |
| --- | --- | --- | --- |
| 1 0 2 | 34.6 | 2.590 | 1000 |
| 1 1 0 | 36.4 | 2.466 | 522 |
| 2 1 2 | 64.4 | 1.447 | 311 |
| 1 0 1 | 28.1 | 3.180 | 298 |
| 2 0 0 | 52.5 | 1.744 | 177 |
| 1 1 3 | 51.3 | 1.782 | 160 |
| 0 0 3 | 34.8 | 2.579 | 121 |
| 1 0 5 | 66.1 | 1.414 | 105 |
| 1 1 4 | 60.9 | 1.522 | 103 |
| 3 0 2 | 87.7 | 1.113 | 103 |